# 1
For Li7B8C8, a structure optimized by DFT (PBE) gives the theoretical X-ray diffraction stick pattern in this record (a wavelength of 1.5418 Å).
Lines closer than 0.1° are merged.

Structural model:
```
data_Li7B8C8
_cell_length_a 7.169
_cell_length_b 2.738
_cell_length_c 9.456
_cell_angle_alpha 90.00
_cell_angle_beta 90.34
_cell_angle_gamma 90.00
_symmetry_space_group_name_H-M 'P 1 2/m 1'
_symmetry_Int_Tables_number 10
_symmetry_space_group_name_Hall '-P 2y'
loop_
_atom_site_label
_atom_site_fract_x
_atom_site_fract_y
_atom_site_fract_z
Li1 0.000 0.000 0.000
Li2 0.000 0.000 0.500
Li3 0.006 0.500 0.250
Li4 0.496 0.500 0.728
Li5 0.500 0.000 0.000
B1 0.239 0.000 0.666
B2 0.250 0.500 0.420
B3 0.250 0.500 0.917
B4 0.254 0.000 0.169
C1 0.235 0.500 0.585
C2 0.247 0.000 0.834
C3 0.250 0.000 0.335
C4 0.253 0.500 0.084
```

Peak list (10 most intense, 10° ≤ 2θ ≤ 80°, low angle first)
(hkl)  two_theta  Rel. int.
2 0 0  24.84  1000
0 1 2  37.98  49
2 0 -4  45.85  318
2 1 2  45.98  220
2 0 4  46.12  99
4 0 0  50.96  196
0 2 0  68.55  71
0 1 6  68.72  133
2 1 -6  74.16  63
2 1 6  74.46  33

# 2
For LiB2C2, a structure optimized by DFT (PBE) gives the theoretical X-ray diffraction stick pattern in this record (a wavelength of 1.5418 Å).
Lines closer than 0.1° are merged.

Structural model:
```
data_LiB2C2
_cell_length_a 5.400
_cell_length_b 4.695
_cell_length_c 7.310
_cell_angle_alpha 90.00
_cell_angle_beta 90.00
_cell_angle_gamma 90.00
_symmetry_space_group_name_H-M 'P b c m'
_symmetry_Int_Tables_number 57
_symmetry_space_group_name_Hall '-P 2c 2b'
loop_
_atom_site_label
_atom_site_fract_x
_atom_site_fract_y
_atom_site_fract_z
Li1 0.141 0.250 0.000
B1 0.127 0.584 0.250
B2 0.378 0.080 0.250
C1 0.124 0.580 0.750
C2 0.374 0.087 0.750
```

Peak list (10 most intense, 10° ≤ 2θ ≤ 80°, low angle first)
(hkl)  two_theta  Rel. int.
0 0 2  24.35  1000
0 2 0  38.34  36
2 1 0  38.46  68
0 2 2  45.95  118
2 1 2  46.05  226
0 0 4  49.90  132
2 3 0  69.42  81
4 0 0  69.65  39
2 3 2  74.77  64
4 0 2  75.01  33

What did the second record say?
For LiB2C2, a structure optimized by DFT (PBE) gives the theoretical X-ray diffraction stick pattern in this record (a wavelength of 1.5418 Å).
Lines closer than 0.1° are merged.

Structural model:
```
data_LiB2C2
_cell_length_a 5.400
_cell_length_b 4.695
_cell_length_c 7.310
_cell_angle_alpha 90.00
_cell_angle_beta 90.00
_cell_angle_gamma 90.00
_symmetry_space_group_name_H-M 'P b c m'
_symmetry_Int_Tables_number 57
_symmetry_space_group_name_Hall '-P 2c 2b'
loop_
_atom_site_label
_atom_site_fract_x
_atom_site_fract_y
_atom_site_fract_z
Li1 0.141 0.250 0.000
B1 0.127 0.584 0.250
B2 0.378 0.080 0.250
C1 0.124 0.580 0.750
C2 0.374 0.087 0.750
```

Peak list (10 most intense, 10° ≤ 2θ ≤ 80°, low angle first)
(hkl)  two_theta  Rel. int.
0 0 2  24.35  1000
0 2 0  38.34  36
2 1 0  38.46  68
0 2 2  45.95  118
2 1 2  46.05  226
0 0 4  49.90  132
2 3 0  69.42  81
4 0 0  69.65  39
2 3 2  74.77  64
4 0 2  75.01  33